# NaLi5N2
Calculated powder diffraction line list, λ = 1.5418 Å (Cu Kα). Input: a crystal structure in Alexandria, relaxed with GGA-PBE.

```
data_NaLi5N2
_chemical_formula_sum 'Na1 Li5 N2'
_cell_length_a 3.858
_cell_length_b 3.634
_cell_length_c 7.430
_cell_angle_alpha 90.00
_cell_angle_beta 101.28
_cell_angle_gamma 90.00
_symmetry_space_group_name_H-M 'P 1 m 1'
_symmetry_Int_Tables_number 6
loop_
_symmetry_equiv_pos_as_xyz
'x,y,z'
'x,-y,z'
loop_
_atom_site_label
_atom_site_fract_x
_atom_site_fract_y
_atom_site_fract_z
Na1 0.000 0.000 0.000
Li1 0.156 0.000 0.338
Li2 0.206 0.500 0.511
Li3 0.358 0.500 0.801
Li4 0.605 0.500 0.225
Li5 0.763 0.000 0.630
N1 0.107 0.500 0.233
N2 0.279 0.000 0.670
```

The 10 most intense peaks (15 to 90 degrees two-theta), sorted by position:
| (hkl) | 2theta | I_rel |
| --- | --- | --- |
| 1 0 0 | 23.51 | 1000 |
| 1 0 -1 | 24.30 | 474 |
| 0 1 0 | 24.47 | 319 |
| 0 1 1 | 27.43 | 640 |
| 0 1 2 | 34.84 | 598 |
| 1 1 1 | 38.03 | 303 |
| 1 1 -2 | 39.54 | 235 |
| 0 1 3 | 44.89 | 732 |
| 2 0 -1 | 47.22 | 408 |
| 0 2 0 | 50.21 | 362 |